(1)
Simulated powder X-ray diffraction pattern of Ho4CdPd for Cu Kα (weighted mean of Kα1 and Kα2), from a GGA-PBE-relaxed structure.
Peak positions follow from Bragg's law for the DFT cell and can differ from measured ones.

Principal peaks in the range 2θ from 10° to 90°, sorted by position:
2θ = 28.46°, I 26; 2θ = 32.08°, I 49; 2θ = 34.08°, I 100; 2θ = 37.21°, I 30; 2θ = 54.98°, I 9; 2θ = 57.18°, I 45; 2θ = 58.47°, I 13; 2θ = 68.27°, I 16; 2θ = 71.38°, I 9; 2θ = 85.18°, I 9; 2θ = 86.28°, I 13; 2θ = 88.10°, I 13

Cell and atoms:
```
data_Ho4CdPd
_chemical_formula_sum 'Ho64 Cd16 Pd16'
_symmetry_space_group_name_H-M 'F -4 3 m'
_symmetry_Int_Tables_number 216
_symmetry_space_group_name_Hall 'F -4 2 3'
_cell_length_a 13.6696
_cell_length_b 13.6696
_cell_length_c 13.6696
_cell_angle_alpha 90.00
_cell_angle_beta 90.00
_cell_angle_gamma 90.00
loop_
_atom_site_label
_atom_site_type_symbol
_atom_site_fract_x
_atom_site_fract_y
_atom_site_fract_z
Ho1 Ho 0.0000 0.0000 0.1839
Ho2 Ho 0.0607 0.2500 0.7500
Ho3 Ho 0.1029 0.1029 0.3971
Cd1 Cd 0.1679 0.1679 0.1679
Pd1 Pd 0.1063 0.1063 0.6063
```

(2)
Simulated powder X-ray diffraction pattern of LiSbP2O7 for Cu Kα (weighted mean of Kα1 and Kα2), from a GGA-PBE-relaxed structure.
Peak positions follow from Bragg's law for the DFT cell and can differ from measured ones.

Principal peaks in the range 2θ from 10° to 90°, sorted by position:
2θ = 14.31°, I 67; 2θ = 17.69°, I 48; 2θ = 18.78°, I 22; 2θ = 20.78°, I 49; 2θ = 21.37°, I 27; 2θ = 24.92°, I 25; 2θ = 27.60°, I 48; 2θ = 28.11°, I 100; 2θ = 29.80°, I 53; 2θ = 30.72°, I 24; 2θ = 42.94°, I 25; 2θ = 45.20°, I 29

Cell and atoms:
```
data_LiSbP2O7
_chemical_formula_sum 'Li4 Sb4 P8 O28'
_symmetry_space_group_name_H-M 'P 1 21/c 1'
_symmetry_Int_Tables_number 14
_cell_length_a 5.1327
_cell_length_b 8.5510
_cell_length_c 13.3580
_cell_angle_alpha 90.00
_cell_angle_beta 112.03
_cell_angle_gamma 90.00
loop_
_symmetry_equiv_pos_as_xyz
'x,y,z'
'-x,-y,-z'
'-x,y+1/2,-z+1/2'
'x,-y+1/2,z+1/2'
loop_
_atom_site_label
_atom_site_type_symbol
_atom_site_fract_x
_atom_site_fract_y
_atom_site_fract_z
Li1 Li 0.2454 0.1506 0.3967
Sb1 Sb 0.4704 0.7044 0.7859
P1 P 0.0648 0.5368 0.3378
P2 P 0.1574 0.7100 0.9808
O1 O 0.0241 0.1382 0.8398
O2 O 0.1532 0.1759 0.5392
O3 O 0.1749 0.6019 0.4589
O4 O 0.2043 0.1239 0.2298
O5 O 0.2530 0.6249 0.8973
O6 O 0.3037 0.5781 0.2957
O7 O 0.3646 0.6862 0.0952
```

(3)
Simulated powder X-ray diffraction pattern of MgNbBi3O7 for Cu Kα (weighted mean of Kα1 and Kα2), from a GGA-PBE-relaxed structure.
Peak positions follow from Bragg's law for the DFT cell and can differ from measured ones.

Principal peaks in the range 2θ from 10° to 90°, sorted by position:
2θ = 20.87°, I 100; 2θ = 24.37°, I 25; 2θ = 25.48°, I 31; 2θ = 27.06°, I 32; 2θ = 27.45°, I 52; 2θ = 28.97°, I 43; 2θ = 29.33°, I 43; 2θ = 30.34°, I 36; 2θ = 31.53°, I 22; 2θ = 37.69°, I 19; 2θ = 39.81°, I 25; 2θ = 41.69°, I 20

Cell and atoms:
```
data_MgNbBi3O7
_chemical_formula_sum 'Mg1 Nb1 Bi3 O7'
_symmetry_space_group_name_H-M 'P 1'
_symmetry_Int_Tables_number 1
_cell_length_a 3.8827
_cell_length_b 4.9069
_cell_length_c 12.4198
_cell_angle_alpha 87.32
_cell_angle_beta 83.00
_cell_angle_gamma 67.57
loop_
_symmetry_equiv_pos_as_xyz
'x,y,z'
loop_
_atom_site_label
_atom_site_type_symbol
_atom_site_fract_x
_atom_site_fract_y
_atom_site_fract_z
Mg1 Mg 0.0000 0.0000 0.0000
Nb1 Nb 0.2734 0.3565 0.1361
Bi1 Bi 0.3492 0.9366 0.5839
Bi2 Bi 0.7659 0.5650 0.8339
Bi3 Bi 0.8184 0.9283 0.3639
O1 O 0.0756 0.7612 0.1356
O2 O 0.1484 0.8083 0.8518
O3 O 0.2873 0.2229 0.2823
O4 O 0.4432 0.1244 0.9922
O5 O 0.4568 0.6830 0.4374
O6 O 0.7893 0.3490 0.1048
O7 O 0.8086 0.5955 0.6656
```

(4)
Simulated powder X-ray diffraction pattern of Sc2AlIr for Cu Kα (weighted mean of Kα1 and Kα2), from a GGA-PBE-relaxed structure.
Peak positions follow from Bragg's law for the DFT cell and can differ from measured ones.

Principal peaks in the range 2θ from 10° to 90°, sorted by position:
2θ = 23.34°, I 67; 2θ = 27.01°, I 21; 2θ = 38.57°, I 100; 2θ = 45.57°, I 36; 2θ = 47.72°, I 7; 2θ = 55.69°, I 17; 2θ = 61.19°, I 15; 2θ = 62.96°, I 9; 2θ = 69.79°, I 34; 2θ = 74.71°, I 11; 2θ = 82.68°, I 11; 2θ = 87.39°, I 12

Cell and atoms:
```
data_Sc2AlIr
_chemical_formula_sum 'Sc8 Al4 Ir4'
_symmetry_space_group_name_H-M 'F m -3 m'
_symmetry_Int_Tables_number 225
_symmetry_space_group_name_Hall '-F 4 2 3'
_cell_length_a 6.6021
_cell_length_b 6.6021
_cell_length_c 6.6021
_cell_angle_alpha 90.00
_cell_angle_beta 90.00
_cell_angle_gamma 90.00
loop_
_atom_site_label
_atom_site_type_symbol
_atom_site_fract_x
_atom_site_fract_y
_atom_site_fract_z
Sc1 Sc 0.2500 0.2500 0.2500
Al1 Al 0.0000 0.0000 0.0000
Ir1 Ir 0.0000 0.0000 0.5000
```

(5)
Simulated powder X-ray diffraction pattern of LaMg16Al12 for Cu Kα (weighted mean of Kα1 and Kα2), from a GGA-PBE-relaxed structure.
Peak positions follow from Bragg's law for the DFT cell and can differ from measured ones.

Principal peaks in the range 2θ from 10° to 90°, sorted by position:
2θ = 11.61°, I 57; 2θ = 11.95°, I 30; 2θ = 16.69°, I 22; 2θ = 20.38°, I 25; 2θ = 35.32°, I 57; 2θ = 35.44°, I 31; 2θ = 35.80°, I 99; 2θ = 36.40°, I 100; 2θ = 39.30°, I 48; 2θ = 40.97°, I 29; 2θ = 41.43°, I 24; 2θ = 64.09°, I 29

Cell and atoms:
```
data_LaMg16Al12
_chemical_formula_sum 'La3 Mg48 Al36'
_symmetry_space_group_name_H-M 'R 3 m'
_symmetry_Int_Tables_number 160
_symmetry_space_group_name_Hall 'R 3 -2"'
_cell_length_a 15.2492
_cell_length_b 15.2492
_cell_length_c 8.9432
_cell_angle_alpha 90.00
_cell_angle_beta 90.00
_cell_angle_gamma 120.00
loop_
_atom_site_label
_atom_site_type_symbol
_atom_site_fract_x
_atom_site_fract_y
_atom_site_fract_z
La1 La 0.0000 0.0000 0.0000
Mg1 Mg 0.0000 0.0000 0.3822
Mg2 Mg 0.0064 0.3068 0.6808
Mg3 Mg 0.0664 0.5332 0.5932
Mg4 Mg 0.2197 0.4394 0.1605
Mg5 Mg 0.2223 0.1112 0.8713
Al1 Al 0.0609 0.1217 0.6833
Al2 Al 0.0922 0.5461 0.1102
Al3 Al 0.1520 0.4837 0.8606
```